[1]
Calculated powder diffractogram of Sc8C4Se3 for Cu Ka, from a DFT-relaxed cell (PBE, Alexandria).

Cell and atoms:
```
Sc8C4Se3
1.0
5.0445 -5.0688 0.0000
5.0445 5.0688 0.0000
-4.8643 0.0000 5.0726
Sc C Se
8 4 3
direct
0.2019 0.2019 0.4487 Sc
0.2212 0.2212 0.9710 Sc
0.2291 0.7709 0.0000 Sc
0.2308 0.7692 0.5000 Sc
0.7692 0.2308 0.5000 Sc
0.7709 0.2291 0.0000 Sc
0.7788 0.7788 0.0290 Sc
0.7981 0.7981 0.5513 Sc
0.0000 0.0000 0.0000 C
0.0000 0.0000 0.5000 C
0.0000 0.5000 0.0000 C
0.5000 0.0000 0.0000 C
0.0000 0.5000 0.5000 Se
0.5000 0.0000 0.5000 Se
0.5000 0.5000 0.5000 Se
```

Top 10 peaks for 10 to 90 degrees two-theta, by angle:
| Position (°2θ) | d (Å) | intensity |
| --- | --- | --- |
| 15.34 | 5.776 | 14.5 |
| 17.48 | 5.072 | 39.0 |
| 24.90 | 3.575 | 33.8 |
| 35.40 | 2.535 | 100.0 |
| 35.62 | 2.521 | 49.7 |
| 50.11 | 1.820 | 14.1 |
| 50.94 | 1.793 | 30.1 |
| 51.11 | 1.787 | 30.2 |
| 52.05 | 1.757 | 16.3 |
| 64.54 | 1.444 | 15.1 |


[2]
Calculated powder diffractogram of Sc5CSe5 for Cu Ka, from a DFT-relaxed cell (PBE, Alexandria).

Cell and atoms:
```
Sc5CSe5
1.0
5.9642 -2.6741 0.0000
5.9642 2.6741 0.0000
-2.4138 0.0000 7.0809
Sc C Se
5 1 5
direct
0.0000 0.0000 0.0000 Sc
0.3537 0.3537 0.1493 Sc
0.3550 0.3550 0.7045 Sc
0.6450 0.6450 0.2955 Sc
0.6463 0.6463 0.8507 Sc
0.5000 0.5000 0.0000 C
0.1645 0.1645 0.8251 Se
0.1760 0.1760 0.3321 Se
0.5000 0.5000 0.5000 Se
0.8240 0.8240 0.6679 Se
0.8355 0.8355 0.1749 Se
```

Top 10 peaks for 10 to 90 degrees two-theta, by angle:
| Position (°2θ) | d (Å) | intensity |
| --- | --- | --- |
| 29.01 | 3.078 | 27.8 |
| 33.51 | 2.674 | 100.0 |
| 33.62 | 2.666 | 90.5 |
| 33.95 | 2.640 | 88.6 |
| 48.20 | 1.888 | 62.4 |
| 48.43 | 1.880 | 89.2 |
| 48.69 | 1.870 | 28.6 |
| 60.13 | 1.539 | 27.7 |
| 60.40 | 1.533 | 29.1 |
| 80.52 | 1.193 | 27.9 |


[3]
Calculated powder diffractogram of Sc6Si3C for Cu Ka, from a DFT-relaxed cell (PBE, Alexandria).

Cell and atoms:
```
Sc6Si3C
1.0
5.7505 0.0000 0.0000
0.0000 7.2443 0.0000
-5.4298 0.0000 9.1644
Sc Si C
12 6 2
direct
0.1022 0.0491 0.2326 Sc
0.1022 0.4509 0.7326 Sc
0.1918 0.7080 0.0595 Sc
0.1918 0.7920 0.5595 Sc
0.3857 0.1595 0.0561 Sc
0.3857 0.3405 0.5561 Sc
0.6143 0.6595 0.4439 Sc
0.6143 0.8405 0.9439 Sc
0.8082 0.2080 0.4405 Sc
0.8082 0.2920 0.9405 Sc
0.8978 0.5491 0.2674 Sc
0.8978 0.9509 0.7674 Sc
0.3175 0.1064 0.7426 Si
0.3175 0.3936 0.2426 Si
0.5000 0.0000 0.5000 Si
0.5000 0.5000 0.0000 Si
0.6825 0.6064 0.7574 Si
0.6825 0.8936 0.2574 Si
0.0000 0.0000 0.0000 C
0.0000 0.5000 0.5000 C
```

Top 10 peaks for 10 to 90 degrees two-theta, by angle:
| Position (°2θ) | d (Å) | intensity |
| --- | --- | --- |
| 30.94 | 2.890 | 63.5 |
| 31.48 | 2.842 | 68.2 |
| 32.71 | 2.737 | 75.0 |
| 33.55 | 2.671 | 73.6 |
| 34.92 | 2.569 | 58.1 |
| 35.31 | 2.542 | 100.0 |
| 35.55 | 2.526 | 57.5 |
| 35.98 | 2.496 | 55.2 |
| 38.50 | 2.338 | 70.6 |
| 40.52 | 2.226 | 63.9 |


[4]
Calculated powder diffractogram of SmScC for Cu Ka, from a DFT-relaxed cell (PBE, Alexandria).

Cell and atoms:
```
SmScC
1.0
6.4750 0.0000 0.0000
0.0000 6.9801 0.0000
-2.1397 0.0000 5.6868
Sm Sc C
4 4 4
direct
0.2419 0.1239 0.0192 Sm
0.2419 0.3761 0.5192 Sm
0.7581 0.6239 0.4808 Sm
0.7581 0.8761 0.9808 Sm
0.1885 0.6275 0.9790 Sc
0.1885 0.8725 0.4790 Sc
0.8115 0.1275 0.5210 Sc
0.8115 0.3725 0.0210 Sc
0.0052 0.6244 0.2404 C
0.0052 0.8756 0.7404 C
0.9948 0.1244 0.2596 C
0.9948 0.3756 0.7596 C
```

Top 10 peaks for 10 to 90 degrees two-theta, by angle:
| Position (°2θ) | d (Å) | intensity |
| --- | --- | --- |
| 19.40 | 4.576 | 44.0 |
| 20.14 | 4.409 | 39.8 |
| 29.48 | 3.030 | 42.3 |
| 30.95 | 2.890 | 100.0 |
| 31.46 | 2.843 | 39.1 |
| 34.85 | 2.575 | 34.1 |
| 36.00 | 2.495 | 67.9 |
| 41.59 | 2.171 | 14.4 |
| 49.67 | 1.836 | 21.1 |
| 52.26 | 1.751 | 21.0 |


[5]
Calculated powder diffractogram of Sc12Sn5C2 for Cu Ka, from a DFT-relaxed cell (PBE, Alexandria).

Cell and atoms:
```
Sc12Sn5C2
1.0
7.9112 -3.5122 0.0000
7.9112 3.5122 0.0000
-2.5094 0.0000 8.5741
Sc Sn C
12 5 2
direct
0.0004 0.0004 0.1700 Sc
0.9996 0.9996 0.8300 Sc
0.0997 0.5960 0.4227 Sc
0.1034 0.5972 0.9255 Sc
0.4028 0.8966 0.0745 Sc
0.4040 0.9003 0.5773 Sc
0.4983 0.4983 0.1658 Sc
0.5017 0.5017 0.8342 Sc
0.5960 0.0997 0.4227 Sc
0.5972 0.1034 0.9255 Sc
0.8966 0.4028 0.0745 Sc
0.9003 0.4040 0.5773 Sc
0.1883 0.1883 0.8413 Sn
0.1904 0.1904 0.3481 Sn
0.5000 0.5000 0.5000 Sn
0.8096 0.8096 0.6519 Sn
0.8117 0.8117 0.1587 Sn
0.2525 0.7475 0.0000 C
0.7475 0.2525 0.0000 C
```

Top 10 peaks for 10 to 90 degrees two-theta, by angle:
| Position (°2θ) | d (Å) | intensity |
| --- | --- | --- |
| 21.64 | 4.107 | 96.9 |
| 23.60 | 3.769 | 96.0 |
| 32.97 | 2.716 | 32.3 |
| 34.80 | 2.578 | 32.6 |
| 35.47 | 2.531 | 39.5 |
| 37.09 | 2.424 | 100.0 |
| 40.39 | 2.233 | 27.8 |
| 42.53 | 2.126 | 25.7 |
| 46.27 | 1.962 | 26.5 |
| 71.27 | 1.323 | 26.0 |


[6]
Calculated powder diffractogram of ScTa4C4 for Cu Ka, from a DFT-relaxed cell (PBE, Alexandria).

Cell and atoms:
```
ScTa4C4
1.0
-3.5886 3.5886 2.2171
3.5886 -3.5886 2.2171
3.5886 3.5886 -2.2171
Sc Ta C
1 4 4
direct
0.0000 0.0000 0.0000 Sc
0.1820 0.3842 0.5662 Ta
0.3842 0.8180 0.2021 Ta
0.6158 0.1820 0.7979 Ta
0.8180 0.6158 0.4338 Ta
0.1003 0.6965 0.7969 C
0.3035 0.1003 0.4038 C
0.6965 0.8997 0.5962 C
0.8997 0.3035 0.2031 C
```

Top 10 peaks for 10 to 90 degrees two-theta, by angle:
| Position (°2θ) | d (Å) | intensity |
| --- | --- | --- |
| 17.47 | 5.075 | 16.9 |
| 24.81 | 3.589 | 5.3 |
| 34.50 | 2.600 | 100.0 |
| 39.71 | 2.270 | 35.9 |
| 40.69 | 2.217 | 18.5 |
| 57.42 | 1.605 | 11.3 |
| 58.17 | 1.586 | 23.2 |
| 68.74 | 1.366 | 19.7 |
| 70.09 | 1.343 | 13.4 |
| 72.74 | 1.300 | 11.2 |


[7]
Calculated powder diffractogram of ScTa5C3 for Cu Ka, from a DFT-relaxed cell (PBE, Alexandria).

Cell and atoms:
```
ScTa5C3
1.0
4.9115 -3.6491 0.0000
4.9115 3.6491 0.0000
-3.5117 0.0000 7.2621
Sc Ta C
2 10 6
direct
0.1031 0.1031 0.3065 Sc
0.8969 0.8969 0.6935 Sc
0.0421 0.6336 0.3328 Ta
0.2341 0.2341 0.0305 Ta
0.2951 0.7049 0.0000 Ta
0.3664 0.9579 0.6672 Ta
0.4291 0.4291 0.6345 Ta
0.5709 0.5709 0.3655 Ta
0.6336 0.0421 0.3328 Ta
0.7049 0.2951 0.0000 Ta
0.7659 0.7659 0.9695 Ta
0.9579 0.3664 0.6672 Ta
0.0000 0.0000 0.0000 C
0.0000 0.0000 0.5000 C
0.3322 0.3322 0.8334 C
0.3390 0.3390 0.3338 C
0.6610 0.6610 0.6662 C
0.6678 0.6678 0.1666 C
```

Top 10 peaks for 10 to 90 degrees two-theta, by angle:
| Position (°2θ) | d (Å) | intensity |
| --- | --- | --- |
| 32.81 | 2.730 | 20.9 |
| 34.49 | 2.601 | 97.4 |
| 36.99 | 2.430 | 53.7 |
| 37.14 | 2.421 | 53.1 |
| 37.33 | 2.409 | 100.0 |
| 38.46 | 2.341 | 26.4 |
| 38.96 | 2.311 | 33.0 |
| 57.48 | 1.603 | 21.2 |
| 60.65 | 1.527 | 17.9 |
| 60.80 | 1.523 | 18.2 |


[8]
Calculated powder diffractogram of Sc2TaZnC for Cu Ka, from a DFT-relaxed cell (PBE, Alexandria).

Cell and atoms:
```
Sc2TaZnC
1.0
4.4370 0.0000 0.0000
0.0000 4.4370 0.0000
0.0000 0.0000 4.3228
Sc Ta Zn C
2 1 1 1
direct
0.0000 0.5000 0.0000 Sc
0.5000 0.0000 0.0000 Sc
0.0000 0.0000 0.5000 Ta
0.5000 0.5000 0.5000 Zn
0.0000 0.0000 0.0000 C
```

Top 10 peaks for 10 to 90 degrees two-theta, by angle:
| Position (°2θ) | d (Å) | intensity |
| --- | --- | --- |
| 20.01 | 4.437 | 27.0 |
| 20.55 | 4.323 | 18.6 |
| 28.45 | 3.137 | 23.7 |
| 28.83 | 3.096 | 14.1 |
| 35.35 | 2.539 | 100.0 |
| 40.67 | 2.218 | 38.0 |
| 41.79 | 2.161 | 17.5 |
| 58.87 | 1.569 | 12.3 |
| 59.73 | 1.548 | 23.4 |
| 70.57 | 1.335 | 25.5 |


[9]
Calculated powder diffractogram of Sc3TcC4 for Cu Ka, from a DFT-relaxed cell (PBE, Alexandria).

Cell and atoms:
```
Sc3TcC4
1.0
-1.6684 2.2489 6.2698
1.6684 -2.2489 6.2698
1.6684 2.2489 -6.2698
Sc Tc C
3 1 4
direct
0.0000 0.0000 0.0000 Sc
0.3095 0.8095 0.5000 Sc
0.6905 0.1905 0.5000 Sc
0.5000 0.5000 0.0000 Tc
0.0305 0.3716 0.6589 C
0.2873 0.6284 0.6589 C
0.7127 0.3716 0.3411 C
0.9695 0.6284 0.3411 C
```

Top 10 peaks for 10 to 90 degrees two-theta, by angle:
| Position (°2θ) | d (Å) | intensity |
| --- | --- | --- |
| 14.13 | 6.270 | 34.5 |
| 20.98 | 4.234 | 22.8 |
| 34.39 | 2.608 | 14.3 |
| 36.46 | 2.464 | 100.0 |
| 40.10 | 2.249 | 20.0 |
| 41.21 | 2.190 | 18.7 |
| 43.29 | 2.090 | 14.2 |
| 44.48 | 2.037 | 31.6 |
| 53.83 | 1.703 | 15.0 |
| 69.47 | 1.353 | 13.9 |


[10]
Calculated powder diffractogram of Sc4Te3C for Cu Ka, from a DFT-relaxed cell (PBE, Alexandria).

Cell and atoms:
```
Sc4Te3C
1.0
9.7194 0.0000 0.0000
0.0000 7.6089 0.0000
0.0000 0.0000 5.6611
Sc Te C
8 6 2
direct
0.0000 0.1363 0.0000 Sc
0.0000 0.8625 0.5452 Sc
0.2020 0.7623 0.9918 Sc
0.2980 0.2377 0.4918 Sc
0.5000 0.1375 0.0452 Sc
0.5000 0.8637 0.5000 Sc
0.7020 0.2377 0.4918 Sc
0.7980 0.7623 0.9918 Sc
0.0000 0.2381 0.4975 Te
0.2409 0.6542 0.4912 Te
0.2591 0.3458 0.9912 Te
0.5000 0.7619 0.9975 Te
0.7409 0.3458 0.9912 Te
0.7591 0.6542 0.4912 Te
0.0000 0.8615 0.9348 C
0.5000 0.1385 0.4348 C
```

Top 10 peaks for 10 to 90 degrees two-theta, by angle:
| Position (°2θ) | d (Å) | intensity |
| --- | --- | --- |
| 21.70 | 4.096 | 75.6 |
| 23.38 | 3.804 | 71.7 |
| 26.87 | 3.318 | 74.1 |
| 29.98 | 2.981 | 36.6 |
| 31.61 | 2.831 | 99.2 |
| 33.85 | 2.648 | 100.0 |
| 37.00 | 2.430 | 52.4 |
| 38.91 | 2.315 | 35.9 |
| 40.10 | 2.249 | 37.9 |
| 49.43 | 1.844 | 42.4 |


[11]
Calculated powder diffractogram of Sc8Te2C3 for Cu Ka, from a DFT-relaxed cell (PBE, Alexandria).

Cell and atoms:
```
Sc8Te2C3
1.0
7.0661 -3.4139 0.0000
7.0661 3.4139 0.0000
-1.6416 0.0000 5.7281
Sc Te C
8 2 3
direct
0.0843 0.0843 0.3994 Sc
0.1715 0.6521 0.1160 Sc
0.3479 0.8285 0.8840 Sc
0.4150 0.4150 0.6113 Sc
0.5850 0.5850 0.3887 Sc
0.6521 0.1715 0.1160 Sc
0.8285 0.3479 0.8840 Sc
0.9157 0.9157 0.6006 Sc
0.2463 0.2463 0.1926 Te
0.7537 0.7537 0.8074 Te
0.2496 0.7504 0.5000 C
0.5000 0.5000 0.0000 C
0.7504 0.2496 0.5000 C
```

Top 10 peaks for 10 to 90 degrees two-theta, by angle:
| Position (°2θ) | d (Å) | intensity |
| --- | --- | --- |
| 19.91 | 4.460 | 55.8 |
| 22.57 | 3.940 | 59.5 |
| 25.10 | 3.548 | 43.2 |
| 29.28 | 3.050 | 30.1 |
| 34.99 | 2.565 | 100.0 |
| 37.30 | 2.411 | 52.8 |
| 37.59 | 2.393 | 46.5 |
| 39.81 | 2.264 | 33.2 |
| 53.36 | 1.717 | 30.6 |
| 68.84 | 1.364 | 21.8 |


[12]
Calculated powder diffractogram of ScU5C6 for Cu Ka, from a DFT-relaxed cell (PBE, Alexandria).

Cell and atoms:
```
ScU5C6
1.0
2.9956 -5.1993 0.0000
2.9956 5.1993 0.0000
-1.9943 0.0000 5.6508
Sc U C
1 5 6
direct
0.0000 0.0000 0.0000 Sc
0.1647 0.8353 0.5000 U
0.3329 0.6671 0.0000 U
0.5000 0.5000 0.5000 U
0.6671 0.3329 0.0000 U
0.8353 0.1647 0.5000 U
0.0822 0.4140 0.2476 C
0.2487 0.2487 0.7505 C
0.4140 0.0822 0.2476 C
0.5860 0.9178 0.7524 C
0.7513 0.7513 0.2495 C
0.9178 0.5860 0.7524 C
```

Top 10 peaks for 10 to 90 degrees two-theta, by angle:
| Position (°2θ) | d (Å) | intensity |
| --- | --- | --- |
| 31.65 | 2.827 | 100.0 |
| 36.71 | 2.448 | 63.3 |
| 52.89 | 1.731 | 44.5 |
| 62.95 | 1.476 | 38.2 |
| 63.02 | 1.475 | 7.6 |
| 66.11 | 1.413 | 15.5 |
| 78.04 | 1.225 | 5.0 |
| 86.71 | 1.123 | 17.3 |
| 89.45 | 1.095 | 7.5 |
| 89.57 | 1.094 | 15.0 |